# 1
The following is a theoretical XRD peak list of Sr3Be2. It was derived from DFT lattice parameters and positions (GGA-PBE), using Cu Kα, 1.54184 Å.
Neutral-atom scattering factors, no anomalous dispersion.

Most intense lines, 2θ = 10–80°, in order of rising 2θ:
- d 3.781, I = 1000, (0 1 1)
- d 2.694, I = 500, (1 0 2)
- d 2.653, I = 482, (1 1 0)
- d 2.171, I = 224, (2 0 1)
- d 1.890, I = 172, (0 2 2)
- d 1.701, I = 210, (1 1 3)
- d 1.680, I = 200, (1 2 1)
- d 1.564, I = 91, (0 1 4)
- d 1.539, I = 176, (2 1 2)
- d 1.531, I = 87, (3 0 0)

Crystal structure
```
data_Sr3Be2
_chemical_formula_sum 'Sr3 Be2'
_cell_length_a 5.3053
_cell_length_b 5.3053
_cell_length_c 6.6529
_cell_angle_alpha 90.00
_cell_angle_beta 90.00
_cell_angle_gamma 120.00
_space_group_name_H-M_alt 'P 1'
_space_group_IT_number 1
loop_
_space_group_symop_operation_xyz
'x,y,z'
loop_
_atom_site_label
_atom_site_fract_x
_atom_site_fract_y
_atom_site_fract_z
Sr1 0.0000 0.0000 0.0000
Sr2 0.3333 0.6667 0.3290
Sr3 0.6667 0.3333 0.6710
Be1 0.3333 0.6667 0.8642
Be2 0.6667 0.3333 0.1358
```


# 2
The following is a theoretical XRD peak list of YHoAlCu. It was derived from DFT lattice parameters and positions (GGA-PBE), using Cu Kα, 1.54184 Å.
Neutral-atom scattering factors, no anomalous dispersion.

Most intense lines, 2θ = 10–80°, in order of rising 2θ:
- d 7.364, I = 254, (0 0 1)
- d 3.682, I = 135, (0 0 2)
- d 3.471, I = 239, (1 0 0)
- d 2.526, I = 1000, (1 0 2)
- d 2.454, I = 480, (1 1 0)
- d 2.042, I = 109, (1 1 2)
- d 1.735, I = 174, (2 0 0)
- d 1.473, I = 180, (1 1 4)
- d 1.430, I = 329, (2 1 2)
- d 1.263, I = 126, (2 0 4)

Crystal structure
```
data_YHoAlCu
_chemical_formula_sum 'Y1 Ho1 Al1 Cu1'
_cell_length_a 3.4710
_cell_length_b 3.4710
_cell_length_c 7.3638
_cell_angle_alpha 90.00
_cell_angle_beta 90.00
_cell_angle_gamma 90.00
_space_group_name_H-M_alt 'P 1'
_space_group_IT_number 1
loop_
_space_group_symop_operation_xyz
'x,y,z'
loop_
_atom_site_label
_atom_site_fract_x
_atom_site_fract_y
_atom_site_fract_z
Y1 0.0000 0.0000 0.0000
Ho1 0.0000 0.0000 0.5280
Al1 0.5000 0.5000 0.2654
Cu1 0.5000 0.5000 0.7553
```


> What is the formula in the first record?

Sr3Be2